Entry 1:
Calculated powder diffraction line list
Compound: Sr2MnCrO6
Radiation: a wavelength of 1.5418 Å
Structure: a cell relaxed with PBE+U
Peak positions follow from Bragg's law for the DFT cell and can differ from measured ones.

Principal peaks in the range 10 to 90 degrees two-theta, in order of rising 2θ:
| 2θ/deg | d_spacing | I_rel |
| --- | --- | --- |
| 32.56 | 2.750 | 51 |
| 32.80 | 2.730 | 100 |
| 40.36 | 2.235 | 23 |
| 46.71 | 1.945 | 40 |
| 47.43 | 1.917 | 19 |
| 58.25 | 1.584 | 38 |
| 58.71 | 1.573 | 18 |
| 68.20 | 1.375 | 11 |
| 68.77 | 1.365 | 22 |
| 87.26 | 1.117 | 11 |

Structural model:
Cell: 6.7036 6.7036 5.5016 Å, 90.06 90.06 69.76°
Fractional coordinates of all 20 atoms:
Sr 0.0005 0.4999 0.5006
Sr 0.2485 0.7515 0.0000
Sr 0.4999 0.0005 0.5006
Sr 0.7515 0.2485 0.0000
Mn 0.9999 0.9999 0.5023
Mn 0.5000 0.5000 0.4981
Cr 0.2510 0.2510 0.0011
Cr 0.7489 0.7489 0.0010
O 0.0002 0.5002 0.0000
O 0.1252 0.1252 0.2448
O 0.1246 0.1246 0.7420
O 0.2503 0.7500 0.5014
O 0.3751 0.3751 0.7541
O 0.3764 0.3764 0.2575
O 0.5002 0.0002 0.0000
O 0.6239 0.6239 0.2573
O 0.6252 0.6252 0.7544
O 0.7500 0.2503 0.5014
O 0.8755 0.8755 0.2442
O 0.8762 0.8762 0.7428

Entry 2:
Calculated powder diffraction line list
Compound: Mn3Cr2Te3O16
Radiation: a wavelength of 1.5418 Å
Structure: a cell relaxed with PBE+U
Peak positions follow from Bragg's law for the DFT cell and can differ from measured ones.

Principal peaks in the range 10 to 90 degrees two-theta, in order of rising 2θ:
| 2θ/deg | d_spacing | I_rel |
| --- | --- | --- |
| 16.05 | 5.524 | 23 |
| 18.12 | 4.896 | 42 |
| 19.05 | 4.658 | 41 |
| 19.45 | 4.563 | 100 |
| 19.68 | 4.510 | 21 |
| 34.91 | 2.570 | 27 |
| 35.67 | 2.517 | 57 |
| 44.51 | 2.036 | 29 |
| 46.27 | 1.962 | 22 |
| 58.73 | 1.572 | 26 |

Structural model:
Cell: 6.3096 6.3096 9.1526 Å, 93.89 93.89 57.18°
Fractional coordinates of all 24 atoms:
Mn 0.0000 0.0000 0.0000
Mn 0.1694 0.6697 0.5052
Mn 0.6697 0.1694 0.5052
Cr 0.1577 0.1577 0.7105
Cr 0.4839 0.4839 0.2372
Te 0.4982 0.9988 0.9985
Te 0.6659 0.6659 0.4983
Te 0.9988 0.4982 0.9985
O 0.1544 0.6487 0.1082
O 0.1862 0.1862 0.1191
O 0.3069 0.3069 0.8708
O 0.3321 0.8794 0.8702
O 0.3633 0.3633 0.3783
O 0.3674 0.7889 0.3627
O 0.4882 0.9862 0.6091
O 0.5157 0.5157 0.6082
O 0.6487 0.1544 0.1082
O 0.6745 0.6745 0.1060
O 0.7889 0.3674 0.3627
O 0.8159 0.8159 0.8873
O 0.8214 0.8214 0.4047
O 0.8794 0.3321 0.8702
O 0.9862 0.4882 0.6091
O 0.9946 0.9946 0.6144

Entry 3:
Calculated powder diffraction line list
Compound: Mn3Cr2Te3O16
Radiation: a wavelength of 1.5418 Å
Structure: a cell relaxed with PBE+U
Peak positions follow from Bragg's law for the DFT cell and can differ from measured ones.

Principal peaks in the range 10 to 90 degrees two-theta, in order of rising 2θ:
| 2θ/deg | d_spacing | I_rel |
| --- | --- | --- |
| 19.23 | 4.615 | 40 |
| 19.45 | 4.563 | 46 |
| 19.63 | 4.523 | 32 |
| 19.82 | 4.479 | 100 |
| 34.95 | 2.567 | 54 |
| 35.18 | 2.551 | 31 |
| 39.02 | 2.308 | 25 |
| 45.27 | 2.003 | 24 |
| 45.86 | 1.979 | 26 |
| 60.21 | 1.537 | 29 |

Structural model:
Cell: 6.1491 6.1491 8.9605 Å, 91.22 91.22 60.31°
Fractional coordinates of all 24 atoms:
Mn 0.0000 0.0000 0.0000
Mn 0.1653 0.6561 0.4960
Mn 0.6561 0.1653 0.4960
Cr 0.1488 0.1488 0.2782
Cr 0.4876 0.4876 0.7636
Te 0.0005 0.4967 0.9926
Te 0.4967 0.0005 0.9926
Te 0.6624 0.6624 0.4886
O 0.1359 0.1359 0.8761
O 0.1708 0.6636 0.8908
O 0.2819 0.8786 0.1301
O 0.2984 0.2984 0.1497
O 0.3402 0.7680 0.6261
O 0.3504 0.3504 0.6191
O 0.4786 0.4786 0.3851
O 0.4883 0.9988 0.3867
O 0.6512 0.6512 0.8787
O 0.6636 0.1708 0.8908
O 0.7680 0.3402 0.6261
O 0.8323 0.8323 0.5981
O 0.8371 0.8371 0.1073
O 0.8786 0.2819 0.1301
O 0.9910 0.9910 0.3952
O 0.9988 0.4883 0.3867

Entry 4:
Calculated powder diffraction line list
Compound: Mn3Cr3Te2O16
Radiation: a wavelength of 1.5418 Å
Structure: a cell relaxed with PBE+U
Peak positions follow from Bragg's law for the DFT cell and can differ from measured ones.

Principal peaks in the range 10 to 90 degrees two-theta, in order of rising 2θ:
| 2θ/deg | d_spacing | I_rel |
| --- | --- | --- |
| 19.71 | 4.503 | 100 |
| 25.91 | 3.439 | 26 |
| 33.94 | 2.641 | 25 |
| 35.85 | 2.505 | 27 |
| 35.98 | 2.496 | 14 |
| 36.13 | 2.486 | 22 |
| 40.02 | 2.253 | 12 |
| 45.85 | 1.979 | 12 |
| 55.76 | 1.649 | 12 |
| 62.37 | 1.489 | 14 |

Structural model:
Cell: 5.9558 5.9558 9.2162 Å, 90.23 90.23 60.13°
Fractional coordinates of all 24 atoms:
Mn 0.0000 0.0000 0.0000
Mn 0.3368 0.8339 0.5011
Mn 0.8339 0.3368 0.5011
Cr 0.9997 0.5064 0.0002
Cr 0.3388 0.3388 0.4993
Cr 0.5064 0.9997 0.0002
Te 0.5011 0.5011 0.2221
Te 0.8336 0.8336 0.7240
O 0.1268 0.6934 0.8681
O 0.1644 0.1644 0.4089
O 0.1644 0.1644 0.9073
O 0.2117 0.6470 0.3659
O 0.3388 0.8239 0.1131
O 0.3400 0.3400 0.1150
O 0.5084 0.5084 0.5991
O 0.5125 0.9977 0.6144
O 0.6470 0.2117 0.3659
O 0.6490 0.6490 0.3613
O 0.6900 0.6900 0.8652
O 0.6934 0.1268 0.8681
O 0.8239 0.3388 0.1131
O 0.8406 0.8406 0.1014
O 0.9925 0.9925 0.6130
O 0.9977 0.5125 0.6144

Entry 5:
Calculated powder diffraction line list
Compound: YMnCrO5
Radiation: a wavelength of 1.5418 Å
Structure: a cell relaxed with PBE+U
Peak positions follow from Bragg's law for the DFT cell and can differ from measured ones.

Principal peaks in the range 10 to 90 degrees two-theta, in order of rising 2θ:
| 2θ/deg | d_spacing | I_rel |
| --- | --- | --- |
| 28.54 | 3.128 | 72 |
| 30.85 | 2.898 | 100 |
| 33.49 | 2.676 | 48 |
| 34.82 | 2.576 | 36 |
| 41.14 | 2.194 | 21 |
| 45.76 | 1.983 | 22 |
| 52.81 | 1.734 | 20 |
| 54.73 | 1.677 | 21 |
| 59.16 | 1.562 | 22 |
| 64.01 | 1.455 | 23 |

Structural model:
Cell: 7.2505 8.6367 5.8169 Å, 90.00 90.00 90.00°
Fractional coordinates of all 32 atoms:
Y 0.1385 0.1731 0.0000
Y 0.3615 0.6731 0.0000
Y 0.6385 0.3269 0.0000
Y 0.8615 0.8269 0.0000
Mn 0.0936 0.8504 0.5000
Mn 0.4064 0.3504 0.5000
Mn 0.5936 0.6496 0.5000
Mn 0.9064 0.1496 0.5000
Cr 0.0000 0.5000 0.2515
Cr 0.0000 0.5000 0.7485
Cr 0.5000 0.0000 0.2515
Cr 0.5000 0.0000 0.7485
O 0.0000 0.0000 0.2761
O 0.0000 0.0000 0.7239
O 0.1082 0.7111 0.2407
O 0.1082 0.7111 0.7593
O 0.1471 0.4221 0.5000
O 0.1680 0.4448 0.0000
O 0.3320 0.9448 0.0000
O 0.3529 0.9221 0.5000
O 0.3918 0.2111 0.2407
O 0.3918 0.2111 0.7593
O 0.5000 0.5000 0.2761
O 0.5000 0.5000 0.7239
O 0.6082 0.7889 0.2407
O 0.6082 0.7889 0.7593
O 0.6471 0.0779 0.5000
O 0.6680 0.0552 0.0000
O 0.8320 0.5552 0.0000
O 0.8529 0.5779 0.5000
O 0.8918 0.2889 0.2407
O 0.8918 0.2889 0.7593